# 1
Computed powder X-ray diffraction pattern of NaZnPO4 for Cu Kα (λ = 1.5418 Å), from a DFT-relaxed cell (PBE, Alexandria).
No peak broadening, texture or thermal motion is included.

Most intense lines, 2θ from 5° to 70°, by intensity:
2θ 20.9, 4.258 Å, intensity 1000, (1 0 1); 2θ 34.2, 2.624 Å, intensity 859, (1 1 2); 2θ 62.0, 1.496 Å, intensity 225, (3 1 2); 2θ 60.7, 1.525 Å, intensity 188, (2 0 4); 2θ 34.8, 2.576 Å, intensity 176, (2 0 0); 2θ 40.9, 2.204 Å, intensity 143, (1 2 1); 2θ 24.4, 3.643 Å, intensity 143, (1 1 0); 2θ 53.9, 1.701 Å, intensity 141, (2 1 3); 2θ 50.1, 1.822 Å, intensity 139, (2 2 0); 2θ 42.5, 2.129 Å, intensity 129, (2 0 2); 2θ 23.5, 3.783 Å, intensity 89, (0 0 2); 2θ 56.5, 1.629 Å, intensity 81, (1 3 0)

a b c (Å): 5.1520 5.1520 7.5661
angles (deg): 90.00 90.00 90.00
Element x y z (fractional)
Na (0.0000, 0.0000, 0.0000)
Na (0.5000, 0.5000, 0.5000)
Zn (0.0000, 0.0000, 0.5000)
Zn (0.5000, 0.5000, 0.0000)
P (0.0000, 0.5000, 0.7500)
P (0.5000, 0.0000, 0.2500)
O (0.1445, 0.2955, 0.6351)
O (0.2045, 0.6445, 0.8649)
O (0.2955, 0.8555, 0.3649)
O (0.3555, 0.2045, 0.1351)
O (0.6445, 0.7955, 0.1351)
O (0.7045, 0.1445, 0.3649)
O (0.7955, 0.3555, 0.8649)
O (0.8555, 0.7045, 0.6351)


# 2
Computed powder X-ray diffraction pattern of NaZnPO4 for Cu Kα (λ = 1.5418 Å), from a DFT-relaxed cell (PBE, Alexandria).
No peak broadening, texture or thermal motion is included.

Most intense lines, 2θ from 5° to 70°, by intensity:
2θ 20.6, 4.314 Å, intensity 1000, (1 0 0); 2θ 22.4, 3.965 Å, intensity 908, (1 1 -2); 2θ 33.9, 2.643 Å, intensity 774, (2 0 -2); 2θ 21.1, 4.204 Å, intensity 724, (0 2 1); 2θ 34.4, 2.608 Å, intensity 643, (1 2 -3); 2θ 14.7, 6.010 Å, intensity 517, (0 1 1); 2θ 35.2, 2.547 Å, intensity 484, (0 4 0); 2θ 29.7, 3.005 Å, intensity 472, (0 2 2); 2θ 28.9, 3.090 Å, intensity 464, (0 3 1); 2θ 24.3, 3.668 Å, intensity 387, (1 2 -1); 2θ 34.3, 2.617 Å, intensity 342, (1 2 1); 2θ 23.9, 3.721 Å, intensity 286, (0 0 2)

a b c (Å): 5.2857 10.1890 9.1077
angles (deg): 90.00 125.20 90.00
Element x y z (fractional)
Na (0.1987, 0.1201, 0.4815)
Na (0.1987, 0.3799, 0.9815)
Na (0.8013, 0.6201, 0.0185)
Na (0.8013, 0.8799, 0.5185)
Zn (0.3029, 0.6667, 0.5105)
Zn (0.3029, 0.8333, 0.0105)
Zn (0.6971, 0.1667, 0.9895)
Zn (0.6971, 0.3333, 0.4895)
P (0.4233, 0.1003, 0.2184)
P (0.4233, 0.3997, 0.7184)
P (0.5767, 0.6003, 0.2816)
P (0.5767, 0.8997, 0.7816)
O (0.1159, 0.1269, 0.1993)
O (0.1159, 0.3731, 0.6993)
O (0.3051, 0.6489, 0.0899)
O (0.3051, 0.8511, 0.5899)
O (0.4165, 0.1731, 0.0672)
O (0.4165, 0.3269, 0.5672)
O (0.4815, 0.5491, 0.7182)
O (0.4815, 0.9509, 0.2182)
O (0.5185, 0.0491, 0.7818)
O (0.5185, 0.4509, 0.2818)
O (0.5835, 0.6731, 0.4328)
O (0.5835, 0.8269, 0.9328)
O (0.6949, 0.1489, 0.4101)
O (0.6949, 0.3511, 0.9101)
O (0.8841, 0.6269, 0.3007)
O (0.8841, 0.8731, 0.8007)


Q: What is the formula in the second record?
A: NaZnPO4